For CuBr, a crystal structure in the Materials Project, relaxed with GGA-PBE gives the theoretical powder diffractogram in this record (a wavelength of 1.5418 Å).

Cell lengths 6.932, 6.932, 6.932 Å; angles 90.00, 90.00, 90.00 degrees
Space group Pa-3 (No. 205)
Inequivalent atoms, fractional coordinates:
Cu  0.129  0.129  0.129 [8 per cell]
Br  0.155  0.655  0.845 [8 per cell]

Peak list (10 most intense, 10° ≤ 2θ ≤ 80°, sorted by position)
d_spacing  two_theta  intensity  hkl
3.466  25.7  9.8  2 0 0
2.830  31.6  100.0  2 1 1
2.311  39.0  4.9  2 2 1
1.853  49.2  65.4  3 1 2
1.733  52.8  18.8  4 0 0
1.681  54.6  3.7  4 1 0
1.478  62.9  6.6  3 3 2
1.359  69.1  5.0  4 3 1
1.266  75.1  10.4  5 2 1
1.225  78.0  8.5  4 4 0